1.
Calculated powder diffractogram
Compound: DyCo4Mo
Radiation: Cu Kα (weighted mean of Kα1 and Kα2)
Structure: a structure optimized by DFT (GGA-PBE)
Kinematic intensities with the Lorentz-polarization factor, no thermal factor.

Principal peaks in the range 2θ = 15–90°, by intensity:
2theta, I_rel
43.76, 100
37.06, 56
71.45, 29
78.94, 22
66.80, 20
45.82, 20
22.45, 10
25.97, 4
58.66, 3
83.33, 2
60.33, 2
84.79, 1

Structural model:
Cell: 4.851 4.851 4.851 Å, 60.00 60.00 60.00°
Fractional coordinates of all 6 atoms:
Dy1 0.000 0.000 0.000
Co1 0.124 0.625 0.625
Co2 0.625 0.124 0.625
Co3 0.625 0.625 0.124
Co4 0.625 0.625 0.625
Mo1 0.250 0.250 0.250

2.
Calculated powder diffractogram
Compound: Cd14InPb
Radiation: Cu Kα (weighted mean of Kα1 and Kα2)
Structure: a structure optimized by DFT (GGA-PBE)
Kinematic intensities with the Lorentz-polarization factor, no thermal factor.

Principal peaks in the range 2θ = 15–90°, by intensity:
2theta, I_rel
34.09, 100
39.63, 33
68.38, 25
57.16, 21
39.45, 16
68.13, 12
57.29, 11
71.79, 11
85.37, 3
84.92, 2
16.86, 1
29.44, 1

Structural model:
Cell: 6.433 6.433 9.136 Å, 90.00 90.00 90.05°
Fractional coordinates of all 16 atoms:
Cd1 0.000 0.000 0.000
Cd2 0.000 0.500 0.000
Cd3 0.000 0.500 0.500
Cd4 0.247 0.247 0.240
Cd5 0.247 0.247 0.760
Cd6 0.247 0.753 0.240
Cd7 0.247 0.753 0.760
Cd8 0.500 0.000 0.000
Cd9 0.500 0.000 0.500
Cd10 0.500 0.500 0.000
Cd11 0.753 0.247 0.240
Cd12 0.753 0.247 0.760
Cd13 0.753 0.753 0.240
Cd14 0.753 0.753 0.760
In1 0.000 0.000 0.500
Pb1 0.500 0.500 0.500

Please write out number 2 again, unchanged.
Calculated powder diffractogram
Compound: Cd14InPb
Radiation: Cu Kα (weighted mean of Kα1 and Kα2)
Structure: a structure optimized by DFT (GGA-PBE)
Kinematic intensities with the Lorentz-polarization factor, no thermal factor.

Principal peaks in the range 2θ = 15–90°, by intensity:
2theta, I_rel
34.09, 100
39.63, 33
68.38, 25
57.16, 21
39.45, 16
68.13, 12
57.29, 11
71.79, 11
85.37, 3
84.92, 2
16.86, 1
29.44, 1

Structural model:
Cell: 6.433 6.433 9.136 Å, 90.00 90.00 90.05°
Fractional coordinates of all 16 atoms:
Cd1 0.000 0.000 0.000
Cd2 0.000 0.500 0.000
Cd3 0.000 0.500 0.500
Cd4 0.247 0.247 0.240
Cd5 0.247 0.247 0.760
Cd6 0.247 0.753 0.240
Cd7 0.247 0.753 0.760
Cd8 0.500 0.000 0.000
Cd9 0.500 0.000 0.500
Cd10 0.500 0.500 0.000
Cd11 0.753 0.247 0.240
Cd12 0.753 0.247 0.760
Cd13 0.753 0.753 0.240
Cd14 0.753 0.753 0.760
In1 0.000 0.000 0.500
Pb1 0.500 0.500 0.500